The following is a calculated powder X-ray diffraction pattern of PmHg2As2Pd7. It was derived from DFT lattice parameters and positions (GGA-PBE), using Cu Kα.

Peak list (6 most intense, 2θ = 5–70°, in order of rising 2θ)
- 30.65 deg, I 86, (0 0 5)
- 31.97 deg, I 55, (0 2 1)
- 34.41 deg, I 84, (2 0 -3)
- 35.51 deg, I 98, (2 0 2)
- 36.52 deg, I 83, (0 2 3)
- 44.92 deg, I 100, (2 2 -1)

Structure:
Unit cell a=5.7200 b=5.7047 c=14.7188 alpha=90.00 beta=97.78 gamma=90.00
Space group C2/m (No. 12)
One atom of each set of equivalent atoms:
Pm (0.0000, 0.0000, 0.0000)
Hg (0.1209, 0.0000, 0.4056)
As (0.0872, 0.5000, 0.2517)
Pd (0.0000, 0.5000, 0.0000)
Pd (0.1232, 0.5000, 0.4173)
Pd (0.1971, 0.2500, 0.8471)